[1]
Calculated powder XRD pattern of MgCd3 for Cu Kα (weighted mean of Kα1 and Kα2), from DFT lattice parameters and positions (GGA-PBE).
Lines closer than 0.1° are merged.

Crystal structure
```
data_MgCd3
_cell_length_a 7.094
_cell_length_b 7.094
_cell_length_c 7.094
_cell_angle_alpha 90.00
_cell_angle_beta 90.00
_cell_angle_gamma 90.00
_symmetry_space_group_name_H-M 'F m -3 m'
_symmetry_Int_Tables_number 225
_symmetry_space_group_name_Hall '-F 4 2 3'
loop_
_atom_site_label
_atom_site_type_symbol
_atom_site_fract_x
_atom_site_fract_y
_atom_site_fract_z
Mg1 Mg 0.000 0.000 0.000
Cd1 Cd 0.000 0.000 0.500
Cd2 Cd 0.250 0.250 0.250
```

Top 10 peaks for 2θ = 10–90°, low angle first:
| 2θ/deg | intensity | hkl |
| --- | --- | --- |
| 21.7 | 14 | 1 1 1 |
| 25.1 | 7 | 2 0 0 |
| 35.8 | 100 | 2 2 0 |
| 42.3 | 7 | 3 1 1 |
| 51.5 | 17 | 4 0 0 |
| 56.6 | 3 | 3 3 1 |
| 58.2 | 3 | 4 2 0 |
| 64.3 | 34 | 4 2 2 |
| 75.9 | 10 | 4 4 0 |
| 86.8 | 15 | 6 2 0 |

[2]
Calculated powder XRD pattern of RbBi4Pt2 for Cu Kα (weighted mean of Kα1 and Kα2), from DFT lattice parameters and positions (GGA-PBE).
Lines closer than 0.1° are merged.

Crystal structure
```
data_RbBi4Pt2
_cell_length_a 20.992
_cell_length_b 4.657
_cell_length_c 7.946
_cell_angle_alpha 90.00
_cell_angle_beta 90.00
_cell_angle_gamma 90.00
_symmetry_space_group_name_H-M 'P n m a'
_symmetry_Int_Tables_number 62
_symmetry_space_group_name_Hall '-P 2ac 2n'
loop_
_atom_site_label
_atom_site_type_symbol
_atom_site_fract_x
_atom_site_fract_y
_atom_site_fract_z
Rb1 Rb 0.142 0.250 0.004
Bi1 Bi 0.026 0.750 0.137
Bi2 Bi 0.068 0.250 0.516
Bi3 Bi 0.181 0.750 0.698
Bi4 Bi 0.198 0.750 0.290
Pt1 Pt 0.036 0.750 0.732
Pt2 Pt 0.212 0.250 0.494
```

Top 10 peaks for 2θ = 10–90°, low angle first:
| 2θ/deg | intensity | hkl |
| --- | --- | --- |
| 16.9 | 28 | 4 0 0 |
| 30.8 | 100 | 2 1 2 |
| 31.9 | 38 | 7 0 1 |
| 34.2 | 22 | 8 0 0 |
| 38.7 | 37 | 0 2 0 |
| 39.4 | 70 | 6 1 2 |
| 51.0 | 13 | 7 2 1 |
| 52.5 | 14 | 8 2 0 |
| 56.1 | 28 | 12 1 0 |
| 70.5 | 13 | 6 3 2 |

[3]
Calculated powder XRD pattern of Sm4ThHg5 for Cu Kα (weighted mean of Kα1 and Kα2), from DFT lattice parameters and positions (GGA-PBE).
Lines closer than 0.1° are merged.

Crystal structure
```
data_Sm4ThHg5
_cell_length_a 3.787
_cell_length_b 3.787
_cell_length_c 19.108
_cell_angle_alpha 90.00
_cell_angle_beta 90.00
_cell_angle_gamma 90.00
_symmetry_space_group_name_H-M 'P 4/m m m'
_symmetry_Int_Tables_number 123
_symmetry_space_group_name_Hall '-P 4 2'
loop_
_atom_site_label
_atom_site_type_symbol
_atom_site_fract_x
_atom_site_fract_y
_atom_site_fract_z
Sm1 Sm 0.000 0.000 0.099
Sm2 Sm 0.000 0.000 0.298
Th1 Th 0.000 0.000 0.500
Hg1 Hg 0.500 0.500 0.000
Hg2 Hg 0.500 0.500 0.199
Hg3 Hg 0.500 0.500 0.395
```

Top 10 peaks for 2θ = 10–90°, low angle first:
| 2θ/deg | intensity | hkl |
| --- | --- | --- |
| 33.3 | 100 | 1 0 5 |
| 33.5 | 50 | 1 1 0 |
| 47.6 | 9 | 0 0 10 |
| 48.1 | 18 | 2 0 0 |
| 59.4 | 19 | 1 1 10 |
| 59.7 | 38 | 2 1 5 |
| 69.9 | 12 | 2 0 10 |
| 79.4 | 8 | 1 0 15 |
| 80.1 | 17 | 3 1 0 |
| 89.4 | 7 | 2 2 10 |

[4]
Calculated powder XRD pattern of Sc5C3 for Cu Kα (weighted mean of Kα1 and Kα2), from DFT lattice parameters and positions (GGA-PBE).
Lines closer than 0.1° are merged.

Crystal structure
```
data_Sc5C3
_cell_length_a 5.974
_cell_length_b 6.004
_cell_length_c 7.264
_cell_angle_alpha 91.32
_cell_angle_beta 97.92
_cell_angle_gamma 104.08
_symmetry_space_group_name_H-M 'P -1'
_symmetry_Int_Tables_number 2
_symmetry_space_group_name_Hall '-P 1'
loop_
_atom_site_label
_atom_site_type_symbol
_atom_site_fract_x
_atom_site_fract_y
_atom_site_fract_z
Sc1 Sc 0.014 0.275 0.424
Sc2 Sc 0.099 0.117 0.817
Sc3 Sc 0.236 0.592 0.962
Sc4 Sc 0.400 0.165 0.202
Sc5 Sc 0.462 0.727 0.405
C1 C 0.067 0.261 0.094
C2 C 0.233 0.001 0.431
C3 C 0.290 0.519 0.650
```

Top 10 peaks for 2θ = 10–90°, low angle first:
| 2θ/deg | intensity | hkl |
| --- | --- | --- |
| 30.0 | 41 | 0 1 2 |
| 30.8 | 67 | 1 -2 0 |
| 31.9 | 100 | 2 0 -1 |
| 32.5 | 93 | 1 -1 2 |
| 33.1 | 35 | -1 2 1 |
| 37.4 | 54 | 1 1 2 |
| 38.2 | 37 | 2 -2 0 |
| 38.8 | 57 | 1 2 -1 |
| 41.0 | 45 | -1 1 3 |
| 42.3 | 67 | 1 1 -3 |

[5]
Calculated powder XRD pattern of TbPrPb6 for Cu Kα (weighted mean of Kα1 and Kα2), from DFT lattice parameters and positions (GGA-PBE).
Lines closer than 0.1° are merged.

Crystal structure
```
data_TbPrPb6
_cell_length_a 4.915
_cell_length_b 4.915
_cell_length_c 9.834
_cell_angle_alpha 90.00
_cell_angle_beta 90.00
_cell_angle_gamma 90.00
_symmetry_space_group_name_H-M 'P 4/m m m'
_symmetry_Int_Tables_number 123
_symmetry_space_group_name_Hall '-P 4 2'
loop_
_atom_site_label
_atom_site_type_symbol
_atom_site_fract_x
_atom_site_fract_y
_atom_site_fract_z
Tb1 Tb 0.000 0.000 0.000
Pr1 Pr 0.000 0.000 0.500
Pb1 Pb 0.000 0.500 0.246
Pb2 Pb 0.500 0.500 0.000
Pb3 Pb 0.500 0.500 0.500
```

Top 10 peaks for 2θ = 10–90°, low angle first:
| 2θ/deg | intensity | hkl |
| --- | --- | --- |
| 18.0 | 1 | 1 0 0 |
| 25.6 | 1 | 1 1 0 |
| 31.5 | 100 | 1 1 2 |
| 36.6 | 51 | 2 0 0 |
| 52.7 | 36 | 2 2 0 |
| 62.7 | 43 | 3 1 2 |
| 65.8 | 13 | 2 2 4 |
| 77.7 | 6 | 4 0 0 |
| 86.3 | 19 | 3 3 2 |
| 89.1 | 18 | 4 2 0 |

[6]
Calculated powder XRD pattern of Na4Si5Sn2O17 for Cu Kα (weighted mean of Kα1 and Kα2), from DFT lattice parameters and positions (GGA-PBE).
Lines closer than 0.1° are merged.

Crystal structure
```
data_Na4Si5Sn2O17
_cell_length_a 21.062
_cell_length_b 5.299
_cell_length_c 14.006
_cell_angle_alpha 90.00
_cell_angle_beta 110.59
_cell_angle_gamma 90.00
_symmetry_space_group_name_H-M 'C 1 2 1'
_symmetry_Int_Tables_number 5
_symmetry_space_group_name_Hall 'C 2y'
loop_
_atom_site_label
_atom_site_type_symbol
_atom_site_fract_x
_atom_site_fract_y
_atom_site_fract_z
Na1 Na 0.033 0.000 0.173
Na2 Na 0.033 0.505 0.678
Na3 Na 0.215 0.730 0.910
Na4 Na 0.219 0.752 0.417
Si1 Si 0.000 0.002 0.500
Si2 Si 0.000 0.495 0.000
Si3 Si 0.116 0.246 0.947
Si4 Si 0.116 0.247 0.448
Si5 Si 0.171 0.231 0.771
Si6 Si 0.172 0.250 0.275
Sn1 Sn 0.157 0.744 0.609
Sn2 Sn 0.159 0.736 0.116
O1 O 0.037 0.191 0.440
O2 O 0.037 0.303 0.941
O3 O 0.056 0.829 0.583
O4 O 0.057 0.664 0.083
O5 O 0.068 0.802 0.834
O6 O 0.111 0.208 0.327
O7 O 0.112 0.263 0.827
O8 O 0.136 0.542 0.473
O9 O 0.140 0.411 0.672
O10 O 0.140 0.953 0.980
O11 O 0.142 0.076 0.173
O12 O 0.170 0.048 0.522
O13 O 0.171 0.444 0.021
O14 O 0.177 0.549 0.251
O15 O 0.179 0.935 0.746
O16 O 0.241 0.329 0.858
O17 O 0.242 0.153 0.362
```

Top 10 peaks for 2θ = 10–90°, low angle first:
| 2θ/deg | intensity | hkl |
| --- | --- | --- |
| 13.3 | 83 | 2 0 -2 |
| 18.0 | 51 | 4 0 0 |
| 21.0 | 98 | 1 1 -2 |
| 23.0 | 59 | 1 1 2 |
| 27.1 | 42 | 6 0 0 |
| 28.0 | 42 | 3 1 2 |
| 30.9 | 100 | 3 1 -4 |
| 33.8 | 43 | 0 2 0 |
| 34.1 | 47 | 8 0 -2 |
| 34.8 | 31 | 5 1 2 |

[7]
Calculated powder XRD pattern of HoBeRu2C for Cu Kα (weighted mean of Kα1 and Kα2), from DFT lattice parameters and positions (GGA-PBE).
Lines closer than 0.1° are merged.

Crystal structure
```
data_HoBeRu2C
_cell_length_a 3.763
_cell_length_b 10.677
_cell_length_c 7.018
_cell_angle_alpha 90.00
_cell_angle_beta 90.00
_cell_angle_gamma 90.00
_symmetry_space_group_name_H-M 'C m c m'
_symmetry_Int_Tables_number 63
_symmetry_space_group_name_Hall '-C 2c 2'
loop_
_atom_site_label
_atom_site_type_symbol
_atom_site_fract_x
_atom_site_fract_y
_atom_site_fract_z
Ho1 Ho 0.000 0.044 0.250
Be1 Be 0.000 0.229 0.750
Ru1 Ru 0.000 0.327 0.057
C1 C 0.000 0.500 0.000
```

Top 10 peaks for 2θ = 10–90°, low angle first:
| 2θ/deg | intensity | hkl |
| --- | --- | --- |
| 28.2 | 25 | 1 1 1 |
| 30.5 | 42 | 0 2 2 |
| 34.7 | 62 | 1 3 0 |
| 36.0 | 100 | 1 1 2 |
| 37.1 | 16 | 1 3 1 |
| 42.2 | 22 | 0 2 3 |
| 48.4 | 20 | 2 0 0 |
| 58.3 | 14 | 2 2 2 |
| 64.0 | 19 | 1 5 3 |
| 66.1 | 13 | 2 2 3 |

[8]
Calculated powder XRD pattern of YNpPb2O6 for Cu Kα (weighted mean of Kα1 and Kα2), from DFT lattice parameters and positions (GGA-PBE).
Lines closer than 0.1° are merged.

Crystal structure
```
data_YNpPb2O6
_cell_length_a 6.000
_cell_length_b 6.126
_cell_length_c 10.494
_cell_angle_alpha 90.00
_cell_angle_beta 124.81
_cell_angle_gamma 90.00
_symmetry_space_group_name_H-M 'P 1 21/c 1'
_symmetry_Int_Tables_number 14
_symmetry_space_group_name_Hall '-P 2ybc'
loop_
_atom_site_label
_atom_site_type_symbol
_atom_site_fract_x
_atom_site_fract_y
_atom_site_fract_z
Y1 Y 0.000 0.000 0.000
Np1 Np 0.500 0.000 0.500
Pb1 Pb 0.245 0.031 0.749
O1 O 0.162 0.192 0.455
O2 O 0.262 0.709 0.452
O3 O 0.351 0.026 0.257
```

Top 10 peaks for 2θ = 10–90°, low angle first:
| 2θ/deg | intensity | hkl |
| --- | --- | --- |
| 29.2 | 25 | 0 2 0 |
| 29.4 | 100 | 1 1 1 |
| 29.8 | 24 | 2 0 -2 |
| 41.9 | 13 | 0 0 4 |
| 42.2 | 23 | 2 2 -2 |
| 51.9 | 30 | 0 2 4 |
| 52.3 | 11 | 2 0 -6 |
| 52.6 | 23 | 3 1 -1 |
| 61.0 | 14 | 2 2 2 |
| 69.0 | 10 | 1 1 5 |